Calculated X-ray diffraction stick pattern of Ca5Mn4O9 for λ = 1.5418 Å (Cu Kα), from a DFT-relaxed cell (PBE+U, Alexandria).
Neutral-atom scattering factors, no anomalous dispersion.

```
Ca5Mn4O9
1.0
8.5700 -1.6631 0.0000
8.5700 1.6631 0.0000
-5.6536 0.0000 8.1270
Ca Mn O
5 4 9
Direct
0.0000 0.0000 0.0000
0.0025 0.0025 0.6566
0.3293 0.3293 0.6572
0.3359 0.3359 0.3231
0.6693 0.6693 0.9913
0.0035 0.0035 0.3260
0.3332 0.3332 0.9910
0.6663 0.6663 0.6558
0.6671 0.6671 0.3267
0.1633 0.1633 0.4870
0.1680 0.1680 0.1658
0.1706 0.1706 0.8205
0.5010 0.5010 0.8264
0.5023 0.5023 0.1691
0.5054 0.5054 0.4904
0.8294 0.8294 0.8289
0.8309 0.8309 0.4884
0.8372 0.8372 0.1531
```

Principal peaks in the range 2θ from 10° to 90°, low angle first:
| 2θ/deg | Rel. int. |
| --- | --- |
| 10.96 | 85 |
| 33.03 | 556 |
| 33.32 | 179 |
| 38.38 | 498 |
| 38.43 | 1000 |
| 55.26 | 445 |
| 55.61 | 285 |
| 55.71 | 141 |
| 66.04 | 100 |
| 69.26 | 135 |